Structure and simulated powder diffraction line list of Lu2FeC4 (the PBE geometry in the Materials Project; Cu Kα, 1.54184 Å).
Neutral-atom scattering factors, no anomalous dispersion.

Crystal structure
a b c (Å): 7.4298 9.3106 4.9326
angles (deg): 90.00 90.00 90.00
Space group Ibam (No. 72)
One atom of each set of equivalent atoms:
Lu (0.1542, 0.1457, 0.0000) (multiplicity 8)
Fe (0.0000, 0.5000, 0.2500) (multiplicity 4)
C (0.1580, 0.1304, 0.5000) (multiplicity 8)
C (0.1685, 0.4222, 0.0000) (multiplicity 8)

Most intense lines, 2θ = 5–70°, low angle first:
28.98 deg, intensity 100, (1 2 1)
31.23 deg, intensity 45, (1 3 0)
31.65 deg, intensity 87, (2 1 1)
36.43 deg, intensity 26, (0 0 2)
37.58 deg, intensity 30, (3 1 0)
39.71 deg, intensity 24, (1 1 2)
46.94 deg, intensity 17, (3 3 0)
54.18 deg, intensity 22, (0 4 2)
58.52 deg, intensity 22, (2 5 1)
60.83 deg, intensity 31, (3 3 2)
61.06 deg, intensity 16, (1 2 3)
62.59 deg, intensity 24, (4 0 2)